1.
The following is a calculated X-ray powder pattern of MgTiVO4. It was derived from a PBE+U-relaxed structure, using λ = 1.5418 Å (Cu Kα).
Peak positions follow from Bragg's law for the DFT cell and can differ from measured ones.

Cell and atoms:
```
data_MgTiVO4
_symmetry_space_group_name_H-M 'P 1 2 1'
_symmetry_Int_Tables_number 3
_cell_length_a 5.051
_cell_length_b 2.988
_cell_length_c 5.188
_cell_angle_alpha 90.00
_cell_angle_beta 90.75
_cell_angle_gamma 90.00
loop_
_symmetry_equiv_pos_as_xyz
'x,y,z'
'-x,y,-z'
loop_
_atom_site_label
_atom_site_type_symbol
_atom_site_fract_x
_atom_site_fract_y
_atom_site_fract_z
Mg1 Mg 0.000 0.000 0.000
Ti1 Ti 0.500 0.530 0.000
V1 V 0.000 0.995 0.500
O1 O 0.167 0.494 0.772
O2 O 0.337 0.983 0.201
```

Principal peaks in the range 10 to 80 degrees two-theta, low angle first:
17.09°, rel. 49
24.44°, rel. 79
24.76°, rel. 70
34.62°, rel. 66
34.88°, rel. 80
49.76°, rel. 100
50.10°, rel. 81
63.41°, rel. 48

2.
The following is a calculated X-ray powder pattern of MgTiVO4. It was derived from a PBE+U-relaxed structure, using λ = 1.5418 Å (Cu Kα).
Peak positions follow from Bragg's law for the DFT cell and can differ from measured ones.

Cell and atoms:
```
data_MgTiVO4
_symmetry_space_group_name_H-M 'I m m 2'
_symmetry_Int_Tables_number 44
_cell_length_a 4.170
_cell_length_b 4.178
_cell_length_c 8.437
_cell_angle_alpha 90.00
_cell_angle_beta 90.00
_cell_angle_gamma 90.00
loop_
_symmetry_equiv_pos_as_xyz
'x,y,z'
'-x,-y,z'
'-x,y,z'
'x,-y,z'
'x+1/2,y+1/2,z+1/2'
'-x+1/2,-y+1/2,z+1/2'
'-x+1/2,y+1/2,z+1/2'
'x+1/2,-y+1/2,z+1/2'
loop_
_atom_site_label
_atom_site_type_symbol
_atom_site_fract_x
_atom_site_fract_y
_atom_site_fract_z
Mg1 Mg 0.000 0.000 0.000
Ti1 Ti 0.000 0.000 0.502
V1 V 0.000 0.500 0.752
O1 O 0.000 0.000 0.269
O2 O 0.000 0.000 0.737
O3 O 0.000 0.500 0.509
O4 O 0.000 0.500 0.996
```

Principal peaks in the range 10 to 80 degrees two-theta, low angle first:
23.78°, rel. 100
37.18°, rel. 30
42.88°, rel. 48
43.36°, rel. 96
50.05°, rel. 22
62.62°, rel. 52
62.99°, rel. 26
79.22°, rel. 24

3.
The following is a calculated X-ray powder pattern of MgTi3V5O16. It was derived from a PBE+U-relaxed structure, using λ = 1.5418 Å (Cu Kα).
Peak positions follow from Bragg's law for the DFT cell and can differ from measured ones.

Cell and atoms:
```
data_MgTi3V5O16
_symmetry_space_group_name_H-M 'P 1'
_symmetry_Int_Tables_number 1
_cell_length_a 5.917
_cell_length_b 5.976
_cell_length_c 9.631
_cell_angle_alpha 90.54
_cell_angle_beta 90.50
_cell_angle_gamma 119.42
loop_
_symmetry_equiv_pos_as_xyz
'x,y,z'
loop_
_atom_site_label
_atom_site_type_symbol
_atom_site_fract_x
_atom_site_fract_y
_atom_site_fract_z
Mg1 Mg 0.000 0.000 0.000
Ti1 Ti 0.192 0.340 0.235
Ti2 Ti 0.325 0.146 0.697
Ti3 Ti 0.869 0.249 0.710
V1 V 0.108 0.784 0.258
V2 V 0.348 0.695 0.500
V3 V 0.638 0.855 0.228
V4 V 0.671 0.349 0.996
V5 V 0.787 0.680 0.720
O1 O 0.017 0.518 0.366
O2 O 0.145 0.833 0.610
O3 O 0.177 0.362 0.610
O4 O 0.288 0.663 0.136
O5 O 0.325 0.190 0.112
O6 O 0.439 0.955 0.361
O7 O 0.468 0.540 0.358
O8 O 0.509 0.090 0.838
O9 O 0.554 0.545 0.847
O10 O 0.638 0.856 0.611
O11 O 0.654 0.358 0.609
O12 O 0.826 0.686 0.112
O13 O 0.827 0.170 0.102
O14 O 0.961 0.506 0.836
O15 O 0.986 0.016 0.323
O16 O 0.997 0.035 0.805
```

Principal peaks in the range 10 to 80 degrees two-theta, low angle first:
18.43°, rel. 87
19.26°, rel. 26
19.41°, rel. 50
19.56°, rel. 100
35.51°, rel. 46
36.21°, rel. 30
39.79°, rel. 25
45.22°, rel. 44

4.
The following is a calculated X-ray powder pattern of MgTiVO4. It was derived from a PBE+U-relaxed structure, using λ = 1.5418 Å (Cu Kα).
Peak positions follow from Bragg's law for the DFT cell and can differ from measured ones.

Cell and atoms:
```
data_MgTiVO4
_symmetry_space_group_name_H-M 'A m m 2'
_symmetry_Int_Tables_number 38
_cell_length_a 2.950
_cell_length_b 6.622
_cell_length_c 8.523
_cell_angle_alpha 90.00
_cell_angle_beta 90.00
_cell_angle_gamma 90.00
loop_
_symmetry_equiv_pos_as_xyz
'x,y,z'
'-x,-y,z'
'-x,y,z'
'x,-y,z'
'x,y+1/2,z+1/2'
'-x,-y+1/2,z+1/2'
'-x,y+1/2,z+1/2'
'x,-y+1/2,z+1/2'
loop_
_atom_site_label
_atom_site_type_symbol
_atom_site_fract_x
_atom_site_fract_y
_atom_site_fract_z
Mg1 Mg 0.000 0.000 0.000
Ti1 Ti 0.500 0.000 0.711
V1 V 0.000 0.000 0.323
O1 O 0.000 0.179 0.802
O2 O 0.500 0.000 0.144
O3 O 0.500 0.000 0.501
```

Principal peaks in the range 10 to 80 degrees two-theta, low angle first:
20.84°, rel. 45
26.93°, rel. 100
34.34°, rel. 33
34.92°, rel. 51
37.07°, rel. 43
46.43°, rel. 52
52.91°, rel. 33
61.83°, rel. 23

5.
The following is a calculated X-ray powder pattern of Mg6TiVO8. It was derived from a PBE+U-relaxed structure, using λ = 1.5418 Å (Cu Kα).
Peak positions follow from Bragg's law for the DFT cell and can differ from measured ones.

Cell and atoms:
```
data_Mg6TiVO8
_symmetry_space_group_name_H-M 'P 4/m m m'
_symmetry_Int_Tables_number 123
_symmetry_space_group_name_Hall '-P 4 2'
_cell_length_a 4.305
_cell_length_b 4.305
_cell_length_c 8.664
_cell_angle_alpha 90.00
_cell_angle_beta 90.00
_cell_angle_gamma 90.00
loop_
_atom_site_label
_atom_site_type_symbol
_atom_site_fract_x
_atom_site_fract_y
_atom_site_fract_z
Mg1 Mg 0.000 0.000 0.000
Mg2 Mg 0.000 0.000 0.500
Mg3 Mg 0.000 0.500 0.249
Ti1 Ti 0.500 0.500 0.500
V1 V 0.500 0.500 0.000
O1 O 0.000 0.000 0.250
O2 O 0.000 0.500 0.000
O3 O 0.000 0.500 0.500
O4 O 0.500 0.500 0.249
```

Principal peaks in the range 10 to 80 degrees two-theta, low angle first:
29.28°, rel. 13
36.06°, rel. 31
41.70°, rel. 51
41.97°, rel. 100
60.65°, rel. 57
60.86°, rel. 28
72.82°, rel. 11
76.49°, rel. 26

6.
The following is a calculated X-ray powder pattern of MgTiVO4. It was derived from a PBE+U-relaxed structure, using λ = 1.5418 Å (Cu Kα).
Peak positions follow from Bragg's law for the DFT cell and can differ from measured ones.

Cell and atoms:
```
data_MgTiVO4
_symmetry_space_group_name_H-M 'P 1 2/m 1'
_symmetry_Int_Tables_number 10
_cell_length_a 5.047
_cell_length_b 2.983
_cell_length_c 5.188
_cell_angle_alpha 90.00
_cell_angle_beta 90.08
_cell_angle_gamma 90.00
loop_
_symmetry_equiv_pos_as_xyz
'x,y,z'
'-x,-y,-z'
'-x,y,-z'
'x,-y,z'
loop_
_atom_site_label
_atom_site_type_symbol
_atom_site_fract_x
_atom_site_fract_y
_atom_site_fract_z
Mg1 Mg 0.000 0.000 0.000
Ti1 Ti 0.500 0.500 0.000
V1 V 0.000 0.000 0.500
O1 O 0.170 0.500 0.770
O2 O 0.335 0.000 0.199
```

Principal peaks in the range 10 to 80 degrees two-theta, low angle first:
17.09°, rel. 32
24.61°, rel. 98
34.69°, rel. 29
34.94°, rel. 53
39.14°, rel. 30
49.97°, rel. 100
50.46°, rel. 49
63.48°, rel. 32

7.
The following is a calculated X-ray powder pattern of MgTiVO4. It was derived from a PBE+U-relaxed structure, using λ = 1.5418 Å (Cu Kα).
Peak positions follow from Bragg's law for the DFT cell and can differ from measured ones.

Cell and atoms:
```
data_MgTiVO4
_symmetry_space_group_name_H-M 'P 1'
_symmetry_Int_Tables_number 1
_cell_length_a 4.228
_cell_length_b 4.243
_cell_length_c 5.229
_cell_angle_alpha 113.25
_cell_angle_beta 113.19
_cell_angle_gamma 90.14
loop_
_symmetry_equiv_pos_as_xyz
'x,y,z'
loop_
_atom_site_label
_atom_site_type_symbol
_atom_site_fract_x
_atom_site_fract_y
_atom_site_fract_z
Mg1 Mg 0.000 0.000 0.000
Ti1 Ti 0.700 0.301 0.500
V1 V 0.502 0.498 0.000
O1 O 0.261 0.253 0.492
O2 O 0.532 0.023 0.054
O3 O 0.748 0.738 0.507
O4 O 0.977 0.467 0.945
```

Principal peaks in the range 10 to 80 degrees two-theta, low angle first:
23.26°, rel. 100
23.48°, rel. 58
36.42°, rel. 23
41.63°, rel. 73
42.62°, rel. 67
42.78°, rel. 67
60.69°, rel. 18
62.06°, rel. 20

8.
The following is a calculated X-ray powder pattern of MgTi3V5O16. It was derived from a PBE+U-relaxed structure, using λ = 1.5418 Å (Cu Kα).
Peak positions follow from Bragg's law for the DFT cell and can differ from measured ones.

Cell and atoms:
```
data_MgTi3V5O16
_symmetry_space_group_name_H-M 'P 1'
_symmetry_Int_Tables_number 1
_cell_length_a 5.912
_cell_length_b 5.926
_cell_length_c 9.415
_cell_angle_alpha 89.34
_cell_angle_beta 88.92
_cell_angle_gamma 60.08
loop_
_symmetry_equiv_pos_as_xyz
'x,y,z'
loop_
_atom_site_label
_atom_site_type_symbol
_atom_site_fract_x
_atom_site_fract_y
_atom_site_fract_z
Mg1 Mg 0.000 0.000 0.000
Ti1 Ti 0.336 0.352 0.230
Ti2 Ti 0.845 0.340 0.265
Ti3 Ti 0.990 0.497 0.741
V1 V 0.066 0.954 0.703
V2 V 0.375 0.844 0.240
V3 V 0.519 0.521 0.963
V4 V 0.524 0.035 0.747
V5 V 0.839 0.850 0.462
O1 O 0.013 0.514 0.343
O2 O 0.025 0.007 0.343
O3 O 0.160 0.678 0.600
O4 O 0.175 0.182 0.133
O5 O 0.198 0.179 0.637
O6 O 0.221 0.669 0.110
O7 O 0.344 0.854 0.850
O8 O 0.369 0.336 0.845
O9 O 0.510 0.511 0.347
O10 O 0.517 0.027 0.341
O11 O 0.650 0.675 0.120
O12 O 0.671 0.229 0.113
O13 O 0.705 0.699 0.629
O14 O 0.728 0.118 0.609
O15 O 0.866 0.324 0.857
O16 O 0.880 0.841 0.843
```

Principal peaks in the range 10 to 80 degrees two-theta, low angle first:
18.86°, rel. 100
19.61°, rel. 81
19.87°, rel. 76
25.92°, rel. 36
36.21°, rel. 62
45.33°, rel. 42
46.11°, rel. 39
62.71°, rel. 48

9.
The following is a calculated X-ray powder pattern of MgTi3V5O16. It was derived from a PBE+U-relaxed structure, using λ = 1.5418 Å (Cu Kα).
Peak positions follow from Bragg's law for the DFT cell and can differ from measured ones.

Cell and atoms:
```
data_MgTi3V5O16
_symmetry_space_group_name_H-M 'P 1'
_symmetry_Int_Tables_number 1
_cell_length_a 5.910
_cell_length_b 5.939
_cell_length_c 9.320
_cell_angle_alpha 89.96
_cell_angle_beta 89.08
_cell_angle_gamma 60.51
loop_
_symmetry_equiv_pos_as_xyz
'x,y,z'
loop_
_atom_site_label
_atom_site_type_symbol
_atom_site_fract_x
_atom_site_fract_y
_atom_site_fract_z
Mg1 Mg 0.000 0.000 0.000
Ti1 Ti 0.025 0.036 0.695
Ti2 Ti 0.196 0.636 0.256
Ti3 Ti 0.496 0.503 0.740
V1 V 0.040 0.480 0.967
V2 V 0.167 0.167 0.253
V3 V 0.553 0.971 0.750
V4 V 0.664 0.159 0.460
V5 V 0.678 0.668 0.231
O1 O 0.004 0.009 0.353
O2 O 0.193 0.150 0.849
O3 O 0.198 0.672 0.853
O4 O 0.307 0.339 0.128
O5 O 0.326 0.839 0.141
O6 O 0.379 0.822 0.633
O7 O 0.405 0.299 0.624
O8 O 0.508 0.492 0.352
O9 O 0.513 0.016 0.353
O10 O 0.703 0.669 0.844
O11 O 0.721 0.162 0.842
O12 O 0.827 0.323 0.595
O13 O 0.839 0.885 0.607
O14 O 0.884 0.330 0.112
O15 O 0.888 0.780 0.108
O16 O 0.998 0.506 0.351
```

Principal peaks in the range 10 to 80 degrees two-theta, low angle first:
19.05°, rel. 100
19.56°, rel. 68
19.71°, rel. 66
19.87°, rel. 85
26.01°, rel. 43
35.86°, rel. 43
45.41°, rel. 44
46.21°, rel. 44

10.
The following is a calculated X-ray powder pattern of MgTi3V5O16. It was derived from a PBE+U-relaxed structure, using λ = 1.5418 Å (Cu Kα).
Peak positions follow from Bragg's law for the DFT cell and can differ from measured ones.

Cell and atoms:
```
data_MgTi3V5O16
_symmetry_space_group_name_H-M 'P 1'
_symmetry_Int_Tables_number 1
_cell_length_a 5.957
_cell_length_b 5.961
_cell_length_c 9.236
_cell_angle_alpha 89.52
_cell_angle_beta 88.94
_cell_angle_gamma 60.55
loop_
_symmetry_equiv_pos_as_xyz
'x,y,z'
loop_
_atom_site_label
_atom_site_type_symbol
_atom_site_fract_x
_atom_site_fract_y
_atom_site_fract_z
Mg1 Mg 0.000 0.000 0.000
Ti1 Ti 0.801 0.852 0.672
Ti2 Ti 0.867 0.323 0.664
Ti3 Ti 0.988 0.510 0.188
V1 V 0.016 0.993 0.391
V2 V 0.328 0.340 0.894
V3 V 0.331 0.804 0.666
V4 V 0.498 0.002 0.173
V5 V 0.499 0.494 0.173
O1 O 0.005 0.494 0.776
O2 O 0.150 0.137 0.544
O3 O 0.158 0.708 0.549
O4 O 0.185 0.626 0.038
O5 O 0.186 0.192 0.033
O6 O 0.309 0.841 0.282
O7 O 0.323 0.334 0.277
O8 O 0.486 0.998 0.775
O9 O 0.493 0.477 0.778
O10 O 0.625 0.187 0.035
O11 O 0.673 0.655 0.571
O12 O 0.676 0.662 0.074
O13 O 0.730 0.124 0.545
O14 O 0.847 0.832 0.282
O15 O 0.849 0.314 0.280
O16 O 0.997 0.995 0.785
```

Principal peaks in the range 10 to 80 degrees two-theta, low angle first:
19.22°, rel. 100
19.62°, rel. 72
26.10°, rel. 32
35.53°, rel. 32
35.96°, rel. 43
39.84°, rel. 38
45.73°, rel. 31
62.34°, rel. 63

11.
The following is a calculated X-ray powder pattern of MgTi2V2O6. It was derived from a PBE+U-relaxed structure, using λ = 1.5418 Å (Cu Kα).
Peak positions follow from Bragg's law for the DFT cell and can differ from measured ones.

Cell and atoms:
```
data_MgTi2V2O6
_symmetry_space_group_name_H-M 'R -3'
_symmetry_Int_Tables_number 148
_symmetry_space_group_name_Hall '-R 3'
_cell_length_a 5.2117
_cell_length_b 5.2117
_cell_length_c 15.1814
_cell_angle_alpha 90.00
_cell_angle_beta 90.00
_cell_angle_gamma 120.00
loop_
_atom_site_label
_atom_site_type_symbol
_atom_site_fract_x
_atom_site_fract_y
_atom_site_fract_z
Mg1 Mg 0.0000 0.0000 0.0000
Ti1 Ti 0.0000 0.0000 0.1732
V1 V 0.0000 0.0000 0.3480
O1 O 0.0017 0.6365 0.5841
```

Principal peaks in the range 10 to 80 degrees two-theta, low angle first:
22.92°, rel. 35
30.78°, rel. 24
34.42°, rel. 78
35.64°, rel. 13
38.87°, rel. 27
46.84°, rel. 9
50.26°, rel. 100
61.65°, rel. 36

12.
The following is a calculated X-ray powder pattern of MgTl3VO4. It was derived from a PBE+U-relaxed structure, using λ = 1.5418 Å (Cu Kα).
Peak positions follow from Bragg's law for the DFT cell and can differ from measured ones.

Cell and atoms:
```
data_MgTl3VO4
_symmetry_space_group_name_H-M 'C 1 m 1'
_symmetry_Int_Tables_number 8
_cell_length_a 9.545
_cell_length_b 8.075
_cell_length_c 6.087
_cell_angle_alpha 90.00
_cell_angle_beta 124.43
_cell_angle_gamma 90.00
loop_
_symmetry_equiv_pos_as_xyz
'x,y,z'
'x,-y,z'
'x+1/2,y+1/2,z'
'x+1/2,-y+1/2,z'
loop_
_atom_site_label
_atom_site_type_symbol
_atom_site_fract_x
_atom_site_fract_y
_atom_site_fract_z
Mg1 Mg 0.000 0.000 0.000
Tl1 Tl 0.200 0.230 0.753
Tl2 Tl 0.225 0.500 0.268
V1 V 0.334 0.000 0.420
O1 O 0.185 0.164 0.252
O2 O 0.415 0.000 0.757
O3 O 0.492 0.000 0.366
```

Principal peaks in the range 10 to 80 degrees two-theta, low angle first:
22.59°, rel. 51
28.18°, rel. 15
28.37°, rel. 62
29.42°, rel. 100
35.77°, rel. 18
39.05°, rel. 16
42.67°, rel. 17
44.86°, rel. 25

Please write out number 5 again, unchanged.
The following is a calculated X-ray powder pattern of Mg6TiVO8. It was derived from a PBE+U-relaxed structure, using λ = 1.5418 Å (Cu Kα).
Peak positions follow from Bragg's law for the DFT cell and can differ from measured ones.

Cell and atoms:
```
data_Mg6TiVO8
_symmetry_space_group_name_H-M 'P 4/m m m'
_symmetry_Int_Tables_number 123
_symmetry_space_group_name_Hall '-P 4 2'
_cell_length_a 4.305
_cell_length_b 4.305
_cell_length_c 8.664
_cell_angle_alpha 90.00
_cell_angle_beta 90.00
_cell_angle_gamma 90.00
loop_
_atom_site_label
_atom_site_type_symbol
_atom_site_fract_x
_atom_site_fract_y
_atom_site_fract_z
Mg1 Mg 0.000 0.000 0.000
Mg2 Mg 0.000 0.000 0.500
Mg3 Mg 0.000 0.500 0.249
Ti1 Ti 0.500 0.500 0.500
V1 V 0.500 0.500 0.000
O1 O 0.000 0.000 0.250
O2 O 0.000 0.500 0.000
O3 O 0.000 0.500 0.500
O4 O 0.500 0.500 0.249
```

Principal peaks in the range 10 to 80 degrees two-theta, low angle first:
29.28°, rel. 13
36.06°, rel. 31
41.70°, rel. 51
41.97°, rel. 100
60.65°, rel. 57
60.86°, rel. 28
72.82°, rel. 11
76.49°, rel. 26

Copy entry 11 word for word.
The following is a calculated X-ray powder pattern of MgTi2V2O6. It was derived from a PBE+U-relaxed structure, using λ = 1.5418 Å (Cu Kα).
Peak positions follow from Bragg's law for the DFT cell and can differ from measured ones.

Cell and atoms:
```
data_MgTi2V2O6
_symmetry_space_group_name_H-M 'R -3'
_symmetry_Int_Tables_number 148
_symmetry_space_group_name_Hall '-R 3'
_cell_length_a 5.2117
_cell_length_b 5.2117
_cell_length_c 15.1814
_cell_angle_alpha 90.00
_cell_angle_beta 90.00
_cell_angle_gamma 120.00
loop_
_atom_site_label
_atom_site_type_symbol
_atom_site_fract_x
_atom_site_fract_y
_atom_site_fract_z
Mg1 Mg 0.0000 0.0000 0.0000
Ti1 Ti 0.0000 0.0000 0.1732
V1 V 0.0000 0.0000 0.3480
O1 O 0.0017 0.6365 0.5841
```

Principal peaks in the range 10 to 80 degrees two-theta, low angle first:
22.92°, rel. 35
30.78°, rel. 24
34.42°, rel. 78
35.64°, rel. 13
38.87°, rel. 27
46.84°, rel. 9
50.26°, rel. 100
61.65°, rel. 36

Copy entry 10 word for word.
The following is a calculated X-ray powder pattern of MgTi3V5O16. It was derived from a PBE+U-relaxed structure, using λ = 1.5418 Å (Cu Kα).
Peak positions follow from Bragg's law for the DFT cell and can differ from measured ones.

Cell and atoms:
```
data_MgTi3V5O16
_symmetry_space_group_name_H-M 'P 1'
_symmetry_Int_Tables_number 1
_cell_length_a 5.957
_cell_length_b 5.961
_cell_length_c 9.236
_cell_angle_alpha 89.52
_cell_angle_beta 88.94
_cell_angle_gamma 60.55
loop_
_symmetry_equiv_pos_as_xyz
'x,y,z'
loop_
_atom_site_label
_atom_site_type_symbol
_atom_site_fract_x
_atom_site_fract_y
_atom_site_fract_z
Mg1 Mg 0.000 0.000 0.000
Ti1 Ti 0.801 0.852 0.672
Ti2 Ti 0.867 0.323 0.664
Ti3 Ti 0.988 0.510 0.188
V1 V 0.016 0.993 0.391
V2 V 0.328 0.340 0.894
V3 V 0.331 0.804 0.666
V4 V 0.498 0.002 0.173
V5 V 0.499 0.494 0.173
O1 O 0.005 0.494 0.776
O2 O 0.150 0.137 0.544
O3 O 0.158 0.708 0.549
O4 O 0.185 0.626 0.038
O5 O 0.186 0.192 0.033
O6 O 0.309 0.841 0.282
O7 O 0.323 0.334 0.277
O8 O 0.486 0.998 0.775
O9 O 0.493 0.477 0.778
O10 O 0.625 0.187 0.035
O11 O 0.673 0.655 0.571
O12 O 0.676 0.662 0.074
O13 O 0.730 0.124 0.545
O14 O 0.847 0.832 0.282
O15 O 0.849 0.314 0.280
O16 O 0.997 0.995 0.785
```

Principal peaks in the range 10 to 80 degrees two-theta, low angle first:
19.22°, rel. 100
19.62°, rel. 72
26.10°, rel. 32
35.53°, rel. 32
35.96°, rel. 43
39.84°, rel. 38
45.73°, rel. 31
62.34°, rel. 63